1.
Structure and theoretical PXRD pattern of HfAg (DFT lattice parameters and positions (GGA-PBE); λ = 1.5418 Å (Cu Kα)).
No peak broadening, texture or thermal motion is included.

Peak list (8 most intense, 10 to 90 degrees two-theta, sorted by position)
- 3.060 Å, 29.19 deg, intensity 8
- 2.436 Å, 36.90 deg, intensity 54
- 2.394 Å, 37.57 deg, intensity 100
- 1.723 Å, 53.17 deg, intensity 19
- 1.664 Å, 55.19 deg, intensity 7
- 1.398 Å, 66.92 deg, intensity 36
- 1.374 Å, 68.25 deg, intensity 16
- 1.197 Å, 80.19 deg, intensity 10

Lattice parameters (Å, degrees): 3.445 3.445 6.658 90.00 90.00 90.00
Atoms (fractional coordinates):
Hf 0.250 0.250 0.140
Hf 0.750 0.750 0.860
Ag 0.250 0.250 0.617
Ag 0.750 0.750 0.383

2.
Structure and theoretical PXRD pattern of BaZrO3 (DFT lattice parameters and positions (GGA-PBE); λ = 1.5418 Å (Cu Kα)).
No peak broadening, texture or thermal motion is included.

Peak list (8 most intense, 10 to 90 degrees two-theta, sorted by position)
- 3.008 Å, 29.70 deg, intensity 100
- 2.998 Å, 29.80 deg, intensity 51
- 2.134 Å, 42.35 deg, intensity 16
- 2.120 Å, 42.65 deg, intensity 31
- 1.739 Å, 52.64 deg, intensity 21
- 1.733 Å, 52.83 deg, intensity 41
- 1.504 Å, 61.66 deg, intensity 19
- 1.341 Å, 70.16 deg, intensity 17

Lattice parameters (Å, degrees): 6.017 6.017 6.017 120.22 120.22 89.62
Atoms (fractional coordinates):
Ba 0.250 0.750 0.500
Ba 0.750 0.250 0.500
Zr 0.000 0.000 0.000
Zr 0.500 0.500 0.000
O 0.227 0.727 0.954
O 0.250 0.250 0.000
O 0.273 0.227 0.500
O 0.727 0.773 0.500
O 0.750 0.750 0.000
O 0.773 0.273 0.046

3.
Structure and theoretical PXRD pattern of Sc3Re2Si3 (DFT lattice parameters and positions (GGA-PBE); λ = 1.5418 Å (Cu Kα)).
No peak broadening, texture or thermal motion is included.

Peak list (8 most intense, 10 to 90 degrees two-theta, sorted by position)
- 6.860 Å, 12.90 deg, intensity 100
- 5.006 Å, 17.72 deg, intensity 39
- 4.851 Å, 18.29 deg, intensity 46
- 3.813 Å, 23.33 deg, intensity 39
- 2.556 Å, 35.11 deg, intensity 52
- 2.258 Å, 39.92 deg, intensity 47
- 2.250 Å, 40.08 deg, intensity 49
- 2.133 Å, 42.38 deg, intensity 66

Lattice parameters (Å, degrees): 10.110 10.110 13.798 127.01 127.01 30.39
Atoms (fractional coordinates):
Sc 0.067 0.067 0.387
Sc 0.088 0.592 0.889
Sc 0.090 0.191 0.741
Sc 0.321 0.350 0.387
Sc 0.408 0.912 0.111
Sc 0.615 0.141 0.790
Sc 0.650 0.679 0.613
Sc 0.661 0.154 0.080
Sc 0.809 0.910 0.259
Sc 0.846 0.339 0.920
Sc 0.859 0.385 0.210
Sc 0.933 0.933 0.613
Re 0.021 0.451 0.466
Re 0.246 0.714 0.836
Re 0.286 0.754 0.164
Re 0.301 0.220 0.045
Re 0.448 0.473 0.318
Re 0.527 0.552 0.682
Re 0.549 0.979 0.534
Re 0.780 0.699 0.955
Si 0.001 0.999 0.000
Si 0.123 0.638 0.121
Si 0.203 0.237 0.629
Si 0.237 0.763 0.500
Si 0.331 0.013 0.319
Si 0.362 0.877 0.879
Si 0.395 0.395 0.633
Si 0.505 0.495 0.000
Si 0.605 0.605 0.367
Si 0.734 0.266 0.500
Si 0.763 0.797 0.371
Si 0.987 0.669 0.681

4.
Structure and theoretical PXRD pattern of KSbO3 (DFT lattice parameters and positions (GGA-PBE); λ = 1.5418 Å (Cu Kα)).
No peak broadening, texture or thermal motion is included.

Peak list (8 most intense, 10 to 90 degrees two-theta, sorted by position)
- 6.893 Å, 12.84 deg, intensity 90
- 4.874 Å, 18.20 deg, intensity 29
- 3.083 Å, 28.96 deg, intensity 100
- 2.605 Å, 34.42 deg, intensity 65
- 1.912 Å, 47.56 deg, intensity 53
- 1.625 Å, 56.65 deg, intensity 36
- 1.437 Å, 64.87 deg, intensity 17
- 1.133 Å, 85.73 deg, intensity 16

Lattice parameters (Å, degrees): 9.749 9.749 9.749 90.00 90.00 90.00
Atoms (fractional coordinates):
K 0.000 0.000 0.000
K 0.000 0.500 0.500
K 0.097 0.097 0.403
K 0.097 0.403 0.097
K 0.403 0.097 0.097
K 0.403 0.403 0.403
K 0.500 0.000 0.500
K 0.500 0.500 0.000
K 0.597 0.597 0.597
K 0.597 0.903 0.903
K 0.903 0.597 0.903
K 0.903 0.903 0.597
Sb 0.093 0.250 0.750
Sb 0.250 0.593 0.750
Sb 0.250 0.750 0.093
Sb 0.250 0.750 0.407
Sb 0.250 0.907 0.750
Sb 0.407 0.250 0.750
Sb 0.593 0.750 0.250
Sb 0.750 0.093 0.250
Sb 0.750 0.250 0.593
Sb 0.750 0.250 0.907
Sb 0.750 0.407 0.250
Sb 0.907 0.750 0.250
O 0.040 0.747 0.093
O 0.040 0.753 0.407
O 0.093 0.040 0.747
O 0.093 0.460 0.753
O 0.112 0.750 0.750
O 0.247 0.593 0.960
O 0.247 0.907 0.540
O 0.250 0.250 0.612
O 0.250 0.250 0.888
O 0.250 0.612 0.250
O 0.250 0.888 0.250
O 0.253 0.593 0.540
O 0.253 0.907 0.960
O 0.388 0.750 0.750
O 0.407 0.040 0.753
O 0.407 0.460 0.747
O 0.460 0.747 0.407
O 0.460 0.753 0.093
O 0.540 0.247 0.907
O 0.540 0.253 0.593
O 0.593 0.540 0.253
O 0.593 0.960 0.247
O 0.612 0.250 0.250
O 0.747 0.093 0.040
O 0.747 0.407 0.460
O 0.750 0.112 0.750
O 0.750 0.388 0.750
O 0.750 0.750 0.112
O 0.750 0.750 0.388
O 0.753 0.093 0.460
O 0.753 0.407 0.040
O 0.888 0.250 0.250
O 0.907 0.540 0.247
O 0.907 0.960 0.253
O 0.960 0.247 0.593
O 0.960 0.253 0.907

5.
Structure and theoretical PXRD pattern of ZrTl2PbSe4 (DFT lattice parameters and positions (GGA-PBE); λ = 1.5418 Å (Cu Kα)).
No peak broadening, texture or thermal motion is included.

Peak list (8 most intense, 10 to 90 degrees two-theta, sorted by position)
- 3.809 Å, 23.35 deg, intensity 10
- 3.529 Å, 25.23 deg, intensity 16
- 3.080 Å, 28.99 deg, intensity 100
- 2.275 Å, 39.61 deg, intensity 26
- 2.205 Å, 40.93 deg, intensity 12
- 2.154 Å, 41.94 deg, intensity 12
- 2.091 Å, 43.27 deg, intensity 22
- 1.765 Å, 51.81 deg, intensity 12

Lattice parameters (Å, degrees): 9.130 9.130 7.176 106.56 106.56 56.31
Atoms (fractional coordinates):
Zr 0.125 0.875 0.750
Zr 0.875 0.125 0.250
Tl 0.126 0.378 0.769
Tl 0.378 0.126 0.269
Tl 0.622 0.874 0.731
Tl 0.874 0.622 0.231
Pb 0.377 0.623 0.250
Pb 0.623 0.377 0.750
Se 0.005 0.797 0.997
Se 0.203 0.995 0.503
Se 0.236 0.548 0.533
Se 0.452 0.764 0.967
Se 0.548 0.236 0.033
Se 0.764 0.452 0.467
Se 0.797 0.005 0.497
Se 0.995 0.203 0.003

6.
Structure and theoretical PXRD pattern of Ba3YIr2O9 (DFT lattice parameters and positions (GGA-PBE); λ = 1.5418 Å (Cu Kα)).
No peak broadening, texture or thermal motion is included.

Peak list (8 most intense, 10 to 90 degrees two-theta, sorted by position)
- 4.868 Å, 18.22 deg, intensity 31
- 2.997 Å, 29.81 deg, intensity 48
- 2.978 Å, 30.00 deg, intensity 100
- 2.558 Å, 35.08 deg, intensity 21
- 2.112 Å, 42.81 deg, intensity 28
- 1.723 Å, 53.16 deg, intensity 18
- 1.719 Å, 53.28 deg, intensity 20
- 1.489 Å, 62.36 deg, intensity 18

Lattice parameters (Å, degrees): 5.956 5.956 14.728 90.00 90.00 120.00
Atoms (fractional coordinates):
Ba 0.000 0.000 0.250
Ba 0.000 0.000 0.750
Ba 0.333 0.667 0.093
Ba 0.333 0.667 0.407
Ba 0.667 0.333 0.593
Ba 0.667 0.333 0.907
Y 0.000 0.000 0.000
Y 0.000 0.000 0.500
Ir 0.333 0.667 0.664
Ir 0.333 0.667 0.836
Ir 0.667 0.333 0.164
Ir 0.667 0.333 0.336
O 0.019 0.509 0.750
O 0.176 0.353 0.587
O 0.176 0.353 0.913
O 0.176 0.824 0.587
O 0.176 0.824 0.913
O 0.353 0.176 0.087
O 0.353 0.176 0.413
O 0.491 0.509 0.750
O 0.491 0.981 0.750
O 0.509 0.019 0.250
O 0.509 0.491 0.250
O 0.647 0.824 0.587
O 0.647 0.824 0.913
O 0.824 0.176 0.087
O 0.824 0.176 0.413
O 0.824 0.647 0.087
O 0.824 0.647 0.413
O 0.981 0.491 0.250